Structure and calculated powder XRD pattern of Ba3ErFe2O8 (DFT lattice parameters and positions (PBE+U); Cu Ka).
Lines closer than 0.1° are merged.

Largest 8 diffraction maxima, in order of rising 2θ, 10 to 80 degrees two-theta:
Position (°2θ), Rel. int., hkl
11.62, 176, 0 0 1
29.06, 868, 0 1 2
29.73, 1000, 1 1 0
42.05, 448, 2 0 2
51.09, 154, 1 0 4
52.34, 338, 1 2 2
52.76, 196, 3 0 0
61.73, 162, 2 2 0

Atomic structure:
Cell lengths 6.0106, 6.0106, 7.6143 Å; angles 90.00, 90.00, 120.00 degrees
Space group P-3m1 (No. 164)
Asymmetric unit:
Ba  0.0000  0.0000  0.0000 (multiplicity 1)
Ba  0.3333  0.6667  0.6557 (multiplicity 2)
Er  0.0000  0.0000  0.5000 (multiplicity 1)
Fe  0.3333  0.6667  0.2163 (multiplicity 2)
O  0.1686  0.3372  0.3210 (multiplicity 6)
O  0.3333  0.6667  0.9799 (multiplicity 2)